Record 1
Starting from the GGA-PBE geometry in OQMD, the powder XRD pattern of ZrBiO3 was computed for Cu Kα X-rays.
No peak broadening, texture or thermal motion is included.

Main lines, sorted by position (2θ = 5–70°):
3.040 Å, 2θ 29.38, I = 100.0
2.694 Å, 2θ 33.26, I = 15.6
2.631 Å, 2θ 34.08, I = 12.9
1.882 Å, 2θ 48.36, I = 16.5
1.862 Å, 2θ 48.91, I = 11.8
1.841 Å, 2θ 49.51, I = 12.5
1.614 Å, 2θ 57.06, I = 15.7
1.587 Å, 2θ 58.14, I = 14.8

Crystal structure
Unit cell a=5.2614 b=5.3872 c=10.3094 alpha=90.00 beta=90.00 gamma=90.00
Atoms (fractional coordinates):
Zr: 0.2500 0.0000 0.1026
Zr: 0.2500 0.0000 0.6026
Zr: 0.7500 0.0000 0.3974
Zr: 0.7500 0.0000 0.8974
Bi: 0.2500 0.5000 0.3523
Bi: 0.2500 0.5000 0.8523
Bi: 0.7500 0.5000 0.1477
Bi: 0.7500 0.5000 0.6477
O: 0.0000 0.1198 0.2500
O: 0.0000 0.8802 0.7500
O: 0.0246 0.2452 0.5020
O: 0.0246 0.7548 0.0020
O: 0.4754 0.2452 0.0020
O: 0.4754 0.7548 0.5020
O: 0.5000 0.1198 0.7500
O: 0.5000 0.8802 0.2500
O: 0.5246 0.2452 0.4980
O: 0.5246 0.7548 0.9980
O: 0.9754 0.2452 0.9980
O: 0.9754 0.7548 0.4980

Record 2
Starting from the GGA-PBE geometry in OQMD, the powder XRD pattern of Ta4Fe4Si7 was computed for Cu Kα X-rays.
No peak broadening, texture or thermal motion is included.

Main lines, sorted by position (2θ = 5–70°):
8.857 Å, 2θ 9.99, I = 39.4
2.853 Å, 2θ 31.36, I = 34.0
2.596 Å, 2θ 34.55, I = 26.3
2.240 Å, 2θ 40.27, I = 100.0
2.113 Å, 2θ 42.79, I = 42.0
2.088 Å, 2θ 43.34, I = 20.5
1.387 Å, 2θ 67.53, I = 21.9
1.374 Å, 2θ 68.27, I = 21.1

Crystal structure
Unit cell a=9.2031 b=9.2031 c=9.2031 alpha=94.23 beta=94.23 gamma=148.49
Atoms (fractional coordinates):
Ta: 0.0000 0.1921 0.1921
Ta: 0.0000 0.8079 0.8079
Ta: 0.1921 0.0000 0.1921
Ta: 0.3651 0.3651 0.7303
Ta: 0.3651 0.6349 0.0000
Ta: 0.6349 0.3651 0.0000
Ta: 0.6349 0.6349 0.2697
Ta: 0.8079 0.0000 0.8079
Fe: 0.1002 0.6002 0.2004
Fe: 0.1002 0.8998 0.5000
Fe: 0.3998 0.6002 0.5000
Fe: 0.3998 0.8998 0.7996
Fe: 0.6002 0.1002 0.2004
Fe: 0.6002 0.3998 0.5000
Fe: 0.8998 0.1002 0.5000
Fe: 0.8998 0.3998 0.7996
Si: 0.0000 0.4055 0.4055
Si: 0.0000 0.5945 0.5945
Si: 0.2010 0.5000 0.7010
Si: 0.2092 0.2092 0.4184
Si: 0.2092 0.7908 0.0000
Si: 0.2507 0.2507 0.0000
Si: 0.4055 0.0000 0.4055
Si: 0.5000 0.2010 0.7010
Si: 0.5000 0.7990 0.2990
Si: 0.5945 0.0000 0.5945
Si: 0.7493 0.7493 0.0000
Si: 0.7908 0.2092 0.0000
Si: 0.7908 0.7908 0.5816
Si: 0.7990 0.5000 0.2990

Record 3
Starting from the GGA-PBE geometry in OQMD, the powder XRD pattern of ZrIBr2 was computed for Cu Kα X-rays.
No peak broadening, texture or thermal motion is included.

Main lines, sorted by position (2θ = 5–70°):
6.395 Å, 2θ 13.85, I = 16.9
6.230 Å, 2θ 14.22, I = 50.9
3.172 Å, 2θ 28.13, I = 100.0
3.111 Å, 2θ 28.70, I = 39.1
2.399 Å, 2θ 37.48, I = 30.8
2.373 Å, 2θ 37.92, I = 20.3
2.077 Å, 2θ 43.58, I = 26.7
1.833 Å, 2θ 49.73, I = 17.4

Crystal structure
Unit cell a=6.3551 b=7.1335 c=12.7899 alpha=90.00 beta=90.00 gamma=90.00
Atoms (fractional coordinates):
Zr: 0.0000 0.0000 0.0000
Zr: 0.0000 0.5000 0.5000
Zr: 0.5000 0.0000 0.0000
Zr: 0.5000 0.5000 0.5000
I: 0.2500 0.1779 0.1627
I: 0.2500 0.6779 0.6627
I: 0.7500 0.3221 0.6627
I: 0.7500 0.8221 0.1627
Br: 0.2500 0.1526 0.8485
Br: 0.2500 0.1916 0.4922
Br: 0.2500 0.6526 0.3485
Br: 0.2500 0.6916 0.9922
Br: 0.7500 0.3084 0.9922
Br: 0.7500 0.3474 0.3485
Br: 0.7500 0.8084 0.4922
Br: 0.7500 0.8474 0.8485